This entry pairs a crystal structure of SmMg3 with its theoretical PXRD pattern. Radiation: λ = 1.5418 Å (Cu Kα). Structure: a PBE-relaxed structure.
Lines closer than 0.1° are merged.

Largest 8 diffraction maxima, sorted by position, 2θ from 10° to 90°:
| d_spacing | I/Imax | index |
| --- | --- | --- |
| 5.864 | 346 | 1 0 0 |
| 3.892 | 914 | 1 0 1 |
| 3.386 | 420 | 1 1 0 |
| 2.932 | 244 | 2 0 0 |
| 2.602 | 235 | 0 0 2 |
| 2.554 | 1000 | 2 0 1 |
| 2.063 | 216 | 1 1 2 |
| 2.039 | 295 | 2 1 1 |

Crystal structure
```
SmMg3
1.0
6.7712 0.0000 0.0000
-3.3856 5.8641 0.0000
0.0000 0.0000 5.2031
Sm Mg
2 6
direct
0.3333 0.6667 0.2500
0.6667 0.3333 0.7500
0.1619 0.3239 0.7500
0.1619 0.8381 0.7500
0.3239 0.1619 0.2500
0.6761 0.8381 0.7500
0.8381 0.1619 0.2500
0.8381 0.6761 0.2500
```